Structure and computed powder X-ray diffraction pattern of HoIn2MoO8 (a crystal structure in Alexandria, relaxed with PBE+U; Cu Kα, 1.54184 Å).
Lines closer than 0.1° are merged.

Atomic structure:
```
data_HoIn2MoO8
_chemical_formula_sum 'Ho1 In2 Mo1 O8'
_cell_length_a 4.939
_cell_length_b 6.639
_cell_length_c 4.941
_cell_angle_alpha 90.00
_cell_angle_beta 90.92
_cell_angle_gamma 90.00
_symmetry_space_group_name_H-M 'P 1 2/m 1'
_symmetry_Int_Tables_number 10
_symmetry_space_group_name_Hall '-P 2y'
loop_
_atom_site_label
_atom_site_type_symbol
_atom_site_fract_x
_atom_site_fract_y
_atom_site_fract_z
_atom_site_occupancy
Ho1 Ho 0.000 0.000 0.000 1
In1 In 0.500 0.256 0.500 1
Mo1 Mo 0.000 0.500 0.000 1
O1 O 0.186 0.285 0.815 1
O2 O 0.286 0.500 0.287 1
O3 O 0.311 0.000 0.313 1
```

The 12 most intense peaks (10 to 90 degrees two-theta), low angle first:
d/Å	Rel. int.	index
3.521	633	1 0 -1
3.465	588	1 0 1
2.755	1000	1 2 0
2.470	286	0 0 2
1.847	418	2 2 -1
1.831	395	2 2 1
1.760	97	2 0 -2
1.732	99	2 0 2
1.554	99	3 0 1
1.501	103	1 4 -1
1.475	239	0 2 3
1.377	107	0 4 2